Diffraction record for Ni2IrPbO6. The X-ray powder pattern is calculated, not measured: it uses a GGA+U-relaxed structure and CuKα.
Kinematic intensities with the Lorentz-polarization factor, no thermal factor.

The 10 most intense peaks (10° ≤ 2θ ≤ 80°), sorted by position:
22.92°, I 92; 31.69°, I 100; 33.58°, I 98; 41.05°, I 21; 46.84°, I 38; 51.47°, I 48; 54.03°, I 19; 58.85°, I 37; 60.04°, I 28; 68.88°, I 17

Structure:
Cell: 5.6668 5.6668 5.6668 Å, 56.20 56.20 56.20°
Fractional positions:
1 Ni 0.0000 0.0000 0.0000
2 Ni 0.4875 0.4875 0.4875
3 Ir 0.7967 0.7967 0.7967
4 Pb 0.2782 0.2782 0.2782
5 O 0.0714 0.4067 0.7170
6 O 0.1900 0.8499 0.6274
7 O 0.4067 0.7170 0.0714
8 O 0.6274 0.1900 0.8499
9 O 0.7170 0.0714 0.4067
10 O 0.8499 0.6274 0.1900